# 1
For Na4SeO5, the GGA-PBE geometry in Alexandria gives the simulated powder X-ray diffraction pattern in this record (Cu Kα, 1.54184 Å).

a b c (Å): 5.6783 10.0040 10.0264
angles (deg): 113.34 96.25 95.72
Space group P-1 (No. 2)
Inequivalent atoms, fractional coordinates:
1 Na 0.0000 0.0000 0.0000 x1
2 Na 0.0021 0.3976 0.5998 x2
3 Na 0.0054 0.8062 0.2047 x2
4 Na 0.2449 0.5528 0.9379 x2
5 Na 0.2569 0.9447 0.5466 x2
6 Na 0.2666 0.3591 0.1568 x2
7 Na 0.2784 0.1669 0.3617 x2
8 Na 0.4945 0.9003 0.0950 x2
9 Na 0.5000 0.5000 0.5000 x1
10 Se 0.2141 0.7797 0.7553 x2
11 Se 0.4850 0.2956 0.7327 x2
12 O 0.0498 0.3511 0.3419 x2
13 O 0.1179 0.9462 0.7722 x2
14 O 0.1356 0.7737 0.9256 x2
15 O 0.2101 0.6084 0.1909 x2
16 O 0.2150 0.1911 0.6021 x2
17 O 0.3258 0.7291 0.5846 x2
18 O 0.3806 0.3174 0.8962 x2
19 O 0.3972 0.8763 0.3164 x2
20 O 0.4121 0.4543 0.7077 x2
21 O 0.4790 0.1577 0.1526 x2

Largest 10 diffraction maxima, low angle first, 10 to 80 degrees two-theta:
h k l  d/Å  2θ/deg  I/Imax
1 -1 1  4.637  19.1  43
0 0 2  4.539  19.6  100
1 0 1  4.445  20.0  30
0 2 -2  4.184  21.2  33
1 3 -2  2.712  33.0  32
0 2 2  2.702  33.1  51
1 1 -4  2.365  38.1  81
1 -4 1  2.354  38.2  79
2 1 1  2.305  39.1  77
1 5 0  1.651  55.7  39



# 2
For SrY2Pb, the GGA-PBE geometry in Alexandria gives the simulated powder X-ray diffraction pattern in this record (Cu Kα, 1.54184 Å).

a b c (Å): 3.7648 5.4431 6.9101
angles (deg): 90.00 104.59 90.00
Space group P2/m (No. 10)
Inequivalent atoms, fractional coordinates:
1 Sr 0.0000 0.0000 0.0000 x1
2 Y 0.3391 0.5000 0.7173 x2
3 Pb 0.5000 0.0000 0.5000 x1

Largest 10 diffraction maxima, low angle first, 10 to 80 degrees two-theta:
h k l  d/Å  2θ/deg  I/Imax
0 0 1  6.687  13.2  40
1 0 0  3.643  24.4  20
1 1 -1  3.005  29.7  98
1 0 1  2.907  30.8  54
0 1 2  2.849  31.4  100
0 2 0  2.722  32.9  47
1 1 -2  2.522  35.6  32
1 2 1  1.987  45.7  36
1 2 -3  1.691  54.3  18
1 1 3  1.639  56.1  20



# 3
For PrB4Ru5, the GGA-PBE geometry in Alexandria gives the simulated powder X-ray diffraction pattern in this record (Cu Kα, 1.54184 Å).

a b c (Å): 6.1021 9.8334 4.9476
angles (deg): 90.00 90.00 90.00
Space group Pmmn (No. 59, origin choice 2)
Inequivalent atoms, fractional coordinates:
1 Pr 0.2500 0.2500 0.2082 x2
2 B 0.0009 0.2500 0.6817 x4
3 B 0.2500 0.5307 0.9959 x4
4 Ru 0.0170 0.0482 0.7297 x8
5 Ru 0.2500 0.7500 0.0522 x2

Largest 10 diffraction maxima, low angle first, 10 to 80 degrees two-theta:
h k l  d/Å  2θ/deg  I/Imax
1 2 1  3.028  29.5  38
0 3 1  2.733  32.8  57
2 2 0  2.593  34.6  100
2 1 1  2.511  35.8  30
0 0 2  2.474  36.3  24
0 4 0  2.458  36.6  22
1 1 2  2.233  40.4  18
2 0 2  1.922  47.3  17
2 2 2  1.790  51.0  26
2 5 1  1.568  58.9  33



# 4
For Hf2Ir3Ru3, the GGA-PBE geometry in Alexandria gives the simulated powder X-ray diffraction pattern in this record (Cu Kα, 1.54184 Å).

a b c (Å): 3.9385 3.9518 7.9736
angles (deg): 90.00 90.00 90.00
Space group Pmmm (No. 47)
Inequivalent atoms, fractional coordinates:
1 Hf 0.0000 0.0000 0.2491 x2
2 Ir 0.5000 0.0000 0.0000 x1
3 Ir 0.5000 0.5000 0.2502 x2
4 Ru 0.0000 0.5000 0.0000 x1
5 Ru 0.0000 0.5000 0.5000 x1
6 Ru 0.5000 0.0000 0.5000 x1

Largest 10 diffraction maxima, low angle first, 10 to 80 degrees two-theta:
h k l  d/Å  2θ/deg  I/Imax
0 0 2  3.987  22.3  4
1 1 0  2.790  32.1  3
1 1 2  2.286  39.4  100
0 0 4  1.993  45.5  17
0 2 0  1.976  45.9  16
2 0 0  1.969  46.1  16
0 2 4  1.403  66.6  11
2 0 4  1.401  66.8  11
2 2 0  1.395  67.1  10
1 1 6  1.200  80.0  13



# 5
For Ac2HfRhS6, the GGA-PBE geometry in Alexandria gives the simulated powder X-ray diffraction pattern in this record (Cu Kα, 1.54184 Å).

a b c (Å): 6.7779 9.8360 6.8844
angles (deg): 90.00 90.00 90.00
Space group Pmmn (No. 59, origin choice 2)
Inequivalent atoms, fractional coordinates:
1 Ac 0.2500 0.0312 0.2202 x4
2 Hf 0.2500 0.7500 0.7532 x2
3 Rh 0.2500 0.2500 0.7390 x2
4 S 0.0061 0.2500 0.9860 x4
5 S 0.0200 0.2500 0.4809 x4
6 S 0.2500 0.0040 0.7669 x4

Largest 10 diffraction maxima, low angle first, 10 to 80 degrees two-theta:
h k l  d/Å  2θ/deg  I/Imax
0 1 1  5.640  15.7  8
0 0 2  3.445  25.9  100
2 0 0  3.389  26.3  22
1 3 0  2.953  30.3  9
0 4 0  2.459  36.5  14
2 0 2  2.415  37.2  32
1 3 2  2.241  40.2  7
1 2 3  1.989  45.6  22
3 2 1  1.967  46.1  18
0 0 4  1.723  53.2  21



# 6
For TbDy2Th3Te6, the GGA-PBE geometry in Alexandria gives the simulated powder X-ray diffraction pattern in this record (Cu Kα, 1.54184 Å).

a b c (Å): 19.9252 4.2543 9.1771
angles (deg): 90.00 110.80 90.00
Space group C2/m (No. 12)
Inequivalent atoms, fractional coordinates:
1 Tb 0.0000 0.0000 0.0000 x2
2 Dy 0.1665 0.5000 0.3327 x4
3 Th 0.0000 0.0000 0.5000 x2
4 Th 0.1663 0.5000 0.8327 x4
5 Te 0.0033 0.5000 0.2434 x4
6 Te 0.1640 0.0000 0.0910 x4
7 Te 0.1699 0.0000 0.5753 x4

Largest 10 diffraction maxima, low angle first, 10 to 80 degrees two-theta:
h k l  d/Å  2θ/deg  I/Imax
6 0 0  3.106  28.7  100
7 1 -2  2.303  39.1  29
2 0 -4  2.274  39.6  14
0 2 0  2.127  42.5  12
5 1 2  2.103  43.0  23
8 0 -4  1.963  46.3  9
6 2 0  1.755  52.1  13
12 0 0  1.553  59.5  13
13 1 -2  1.442  64.6  13
11 1 2  1.341  70.2  11



# 7
For AcHoC, the GGA-PBE geometry in Alexandria gives the simulated powder X-ray diffraction pattern in this record (Cu Kα, 1.54184 Å).

a b c (Å): 3.7313 6.8567 12.4070
angles (deg): 90.00 90.00 90.00
Space group P2_12_12_1 (No. 19)
Inequivalent atoms, fractional coordinates:
1 Ac 0.2492 0.1683 0.2482 x4
2 Ho 0.2479 0.4551 0.0046 x4
3 C 0.2478 0.1718 0.8891 x4

Largest 10 diffraction maxima, low angle first, 10 to 80 degrees two-theta:
h k l  d/Å  2θ/deg  I/Imax
0 2 1  3.305  27.0  33
1 1 1  3.169  28.2  63
0 0 4  3.102  28.8  59
0 2 2  3.001  29.8  50
1 1 2  2.898  30.9  100
0 2 3  2.639  34.0  23
1 1 3  2.569  34.9  40
1 3 0  1.949  46.6  27
1 1 6  1.749  52.3  23
1 3 4  1.651  55.7  33



# 8
For NaGaTe, the GGA-PBE geometry in Alexandria gives the simulated powder X-ray diffraction pattern in this record (Cu Kα, 1.54184 Å).

a b c (Å): 7.2831 6.2820 8.1746
angles (deg): 90.00 90.38 90.00
Space group P2_1/c (No. 14)
Inequivalent atoms, fractional coordinates:
1 Na 0.1818 0.1171 0.1906 x4
2 Ga 0.4911 0.6928 0.0569 x4
3 Te 0.2513 0.6206 0.3261 x4

Largest 10 diffraction maxima, low angle first, 10 to 80 degrees two-theta:
h k l  d/Å  2θ/deg  I/Imax
1 0 0  7.283  12.2  61
1 1 0  4.757  18.7  62
1 1 1  4.106  21.6  79
1 0 -2  3.574  24.9  60
0 2 1  2.933  30.5  100
2 0 -2  2.727  32.8  34
0 1 3  2.501  35.9  60
2 1 2  2.489  36.1  39
2 2 -1  2.284  39.5  39
1 2 -3  1.984  45.7  34



# 9
For LiPSe, the GGA-PBE geometry in Alexandria gives the simulated powder X-ray diffraction pattern in this record (Cu Kα, 1.54184 Å).

a b c (Å): 5.4023 3.6580 6.2683
angles (deg): 90.00 94.17 90.00
Space group P2_1 (No. 4)
Inequivalent atoms, fractional coordinates:
1 Li 0.2174 0.0000 0.1104 x2
2 P 0.1272 0.3310 0.4846 x2
3 Se 0.2892 0.4781 0.8191 x2

Largest 10 diffraction maxima, low angle first, 10 to 80 degrees two-theta:
h k l  d/Å  2θ/deg  I/Imax
1 0 -1  4.237  21.0  100
0 1 1  3.157  28.3  58
1 1 0  3.026  29.5  73
2 0 0  2.694  33.3  20
1 0 2  2.622  34.2  27
0 1 2  2.376  37.9  23
0 0 3  2.086  43.4  54
1 1 -3  1.750  52.3  13
2 1 2  1.735  52.8  19
1 1 3  1.684  54.5  12



# 10
For Ac2ZnReN4, the GGA-PBE geometry in Alexandria gives the simulated powder X-ray diffraction pattern in this record (Cu Kα, 1.54184 Å).

a b c (Å): 4.9137 11.6514 18.8398
angles (deg): 90.00 90.00 90.00
Space group Fddd (No. 70, origin choice 2)
Inequivalent atoms, fractional coordinates:
1 Ac 0.1250 0.1250 0.2998 x16
2 Zn 0.1250 0.1250 0.1250 x8
3 Re 0.1250 0.1250 0.6250 x8
4 N 0.1146 0.2586 0.8330 x32

Largest 10 diffraction maxima, low angle first, 10 to 80 degrees two-theta:
h k l  d/Å  2θ/deg  I/Imax
1 1 3  3.673  24.2  100
0 4 0  2.913  30.7  42
0 2 6  2.764  32.4  82
1 3 3  2.741  32.7  58
2 2 0  2.264  39.8  49
1 5 3  1.996  45.4  23
2 0 6  1.935  47.0  30
1 1 9  1.900  47.9  17
0 6 6  1.652  55.7  18
2 4 6  1.612  57.2  33



# 11
For Pm4SmGa5, the GGA-PBE geometry in Alexandria gives the simulated powder X-ray diffraction pattern in this record (Cu Kα, 1.54184 Å).

a b c (Å): 3.6633 3.6633 18.3033
angles (deg): 90.00 90.00 90.00
Space group P4/mmm (No. 123)
Inequivalent atoms, fractional coordinates:
1 Pm 0.0000 0.0000 0.1002 x2
2 Pm 0.0000 0.0000 0.3007 x2
3 Sm 0.0000 0.0000 0.5000 x1
4 Ga 0.5000 0.5000 0.0000 x1
5 Ga 0.5000 0.5000 0.2004 x2
6 Ga 0.5000 0.5000 0.4012 x2

Largest 8 diffraction maxima, low angle first, 10 to 80 degrees two-theta:
h k l  d/Å  2θ/deg  I/Imax
1 0 0  3.662  24.3  14
1 1 0  2.590  34.6  100
1 1 5  2.115  42.8  4
2 0 0  1.831  49.8  18
2 1 0  1.638  56.2  6
2 1 5  1.495  62.1  36
2 2 0  1.295  73.1  11
3 0 0  1.221  78.3  3



# 12
For Ti3ReSn, the GGA-PBE geometry in Alexandria gives the simulated powder X-ray diffraction pattern in this record (Cu Kα, 1.54184 Å).

a b c (Å): 4.7618 4.7618 4.7618
angles (deg): 90.00 90.00 90.00
Space group Pm-3m (No. 221)
Inequivalent atoms, fractional coordinates:
1 Ti 0.0000 0.0000 0.5000 x3
2 Re 0.0000 0.0000 0.0000 x1
3 Sn 0.5000 0.5000 0.5000 x1

Largest 10 diffraction maxima, low angle first, 10 to 80 degrees two-theta:
h k l  d/Å  2θ/deg  I/Imax
1 0 0  4.762  18.6  22
1 1 0  3.367  26.5  100
2 0 0  2.381  37.8  60
2 1 0  2.130  42.4  10
2 1 1  1.944  46.7  45
2 2 0  1.684  54.5  41
3 0 0  1.587  58.1  5
3 1 0  1.506  61.6  20
2 2 2  1.375  68.2  14
3 2 1  1.273  74.6  24



# 13
For FeRe5, the GGA-PBE geometry in Alexandria gives the simulated powder X-ray diffraction pattern in this record (Cu Kα, 1.54184 Å).

a b c (Å): 10.0313 2.7504 6.4517
angles (deg): 90.00 104.56 90.00
Space group Cm (No. 8)
Inequivalent atoms, fractional coordinates:
1 Fe 0.0000 0.0000 0.0000 x2
2 Re 0.0533 0.0000 0.6118 x2
3 Re 0.1626 0.5000 0.3240 x2
4 Re 0.2183 0.5000 0.9428 x2
5 Re 0.3377 0.0000 0.6689 x2
6 Re 0.3931 0.0000 0.2646 x2

Largest 10 diffraction maxima, low angle first, 10 to 80 degrees two-theta:
h k l  d/Å  2θ/deg  I/Imax
1 1 1  2.379  37.8  32
2 0 2  2.369  38.0  17
4 0 -2  2.203  41.0  50
3 1 0  2.094  43.2  100
1 1 -2  2.091  43.3  66
0 0 3  2.081  43.5  32
6 0 0  1.619  56.9  15
3 1 3  1.370  68.5  22
7 1 -2  1.252  76.0  18
5 1 -4  1.248  76.3  13